(1)
# Th2Al7Au12
Computed XRD peak list, copper Kα. Input: a PBE-relaxed structure.

Atomic structure:
abc: 10.297 10.297 4.330
angles: 90.00 90.00 120.00
Positions (direct):
Th 0.000 0.000 0.000
Th 0.333 0.667 0.500
Al 0.033 0.453 0.000
Al 0.270 0.255 0.500
Al 0.420 0.967 0.000
Al 0.547 0.580 0.000
Al 0.667 0.333 0.000
Al 0.745 0.015 0.500
Al 0.985 0.730 0.500
Au 0.023 0.251 0.500
Au 0.152 0.744 0.000
Au 0.228 0.977 0.500
Au 0.256 0.408 0.000
Au 0.376 0.202 0.000
Au 0.559 0.123 0.500
Au 0.564 0.441 0.500
Au 0.592 0.848 0.000
Au 0.749 0.772 0.500
Au 0.798 0.174 0.000
Au 0.826 0.624 0.000
Au 0.877 0.436 0.500

Peak list (8 most intense, 5 to 70 degrees two-theta, by angle)
two_theta	I_rel
26.4	17
26.9	14
33.7	100
36.3	10
40.8	12
41.7	20
42.1	11
44.3	11

(2)
# PuIn3Bi2
Computed XRD peak list, copper Kα. Input: a PBE-relaxed structure.

Atomic structure:
abc: 7.959 7.959 4.785
angles: 90.00 90.00 145.92
Positions (direct):
Pu 0.000 0.000 0.000
In 0.167 0.833 0.500
In 0.500 0.500 0.500
In 0.833 0.167 0.500
Bi 0.346 0.654 0.000
Bi 0.654 0.346 0.000

Peak list (8 most intense, 5 to 70 degrees two-theta, by angle)
two_theta	I_rel
32.1	100
35.4	18
37.6	17
38.6	16
52.6	12
61.5	13
64.4	14
65.8	13

(3)
# K2Zn2SeS2
Computed XRD peak list, copper Kα. Input: a PBE-relaxed structure.

Atomic structure:
abc: 7.160 7.160 8.207
angles: 124.23 124.23 32.39
Positions (direct):
K 0.060 0.060 0.269
K 0.940 0.940 0.731
Zn 0.303 0.303 0.179
Zn 0.697 0.697 0.821
Se 0.500 0.500 0.500
S 0.315 0.315 0.892
S 0.685 0.685 0.108

Peak list (8 most intense, 5 to 70 degrees two-theta, by angle)
two_theta	I_rel
13.5	100
24.8	37
26.2	27
29.7	44
32.4	50
33.8	31
45.4	23
46.7	30

(4)
# Ce3Ru
Computed XRD peak list, copper Kα. Input: a PBE-relaxed structure.

Atomic structure:
abc: 11.694 11.694 5.663
angles: 90.00 90.00 90.00
Positions (direct):
Ce 0.047 0.916 0.235
Ce 0.084 0.547 0.735
Ce 0.115 0.309 0.500
Ce 0.122 0.833 0.801
Ce 0.167 0.622 0.301
Ce 0.191 0.115 0.000
Ce 0.309 0.385 0.000
Ce 0.333 0.878 0.301
Ce 0.378 0.667 0.801
Ce 0.385 0.191 0.500
Ce 0.416 0.953 0.735
Ce 0.453 0.584 0.235
Ce 0.547 0.416 0.765
Ce 0.584 0.047 0.265
Ce 0.615 0.809 0.500
Ce 0.622 0.333 0.199
Ce 0.667 0.122 0.699
Ce 0.691 0.615 0.000
Ce 0.809 0.885 0.000
Ce 0.833 0.378 0.699
Ce 0.878 0.167 0.199
Ce 0.885 0.691 0.500
Ce 0.916 0.453 0.265
Ce 0.953 0.084 0.765
Ru 0.067 0.328 0.994
Ru 0.172 0.067 0.506
Ru 0.328 0.433 0.506
Ru 0.433 0.172 0.994
Ru 0.567 0.828 0.006
Ru 0.672 0.567 0.494
Ru 0.828 0.933 0.494
Ru 0.933 0.672 0.006

Peak list (8 most intense, 5 to 70 degrees two-theta, by angle)
two_theta	I_rel
30.6	43
31.8	75
32.5	30
33.4	74
34.3	100
35.4	77
40.1	94
56.2	33